Entry 1:
This entry pairs a crystal structure of CeBe2Pt5 with its simulated PXRD pattern. Radiation: a wavelength of 1.5418 Å. Structure: a structure optimized by DFT (PBE).
Kinematic intensities with the Lorentz-polarization factor, no thermal factor.

Cell and atoms:
```
data_CeBe2Pt5
_chemical_formula_sum 'Ce2 Be4 Pt10'
_cell_length_a 3.9027
_cell_length_b 6.7084
_cell_length_c 9.5736
_cell_angle_alpha 90.00
_cell_angle_beta 90.00
_cell_angle_gamma 90.00
_symmetry_space_group_name_H-M 'I m m m'
_symmetry_Int_Tables_number 71
_symmetry_space_group_name_Hall '-I 2 2'
loop_
_atom_site_label
_atom_site_type_symbol
_atom_site_fract_x
_atom_site_fract_y
_atom_site_fract_z
Ce1 Ce 0.0000 0.0000 0.0000
Be1 Be 0.0000 0.5000 0.2342
Pt1 Pt 0.0000 0.2067 0.3502
Pt2 Pt 0.0000 0.5000 0.0000
```

Top 8 peaks for 2θ from 10° to 80°, by intensity:
2θ 36.37, d = 2.470 Å, I = 100.0, (1 0 3)
2θ 36.55, d = 2.458 Å, I = 91.4, (1 2 1)
2θ 46.58, d = 1.950 Å, I = 67.0, (2 0 0)
2θ 32.60, d = 2.747 Å, I = 32.4, (0 2 2)
2θ 79.58, d = 1.205 Å, I = 28.0, (3 0 3)
2θ 67.99, d = 1.379 Å, I = 22.5, (2 2 4)
2θ 16.13, d = 5.494 Å, I = 19.5, (0 1 1)
2θ 46.82, d = 1.940 Å, I = 17.3, (1 3 0)

Entry 2:
This entry pairs a crystal structure of LaIr3 with its simulated PXRD pattern. Radiation: a wavelength of 1.5418 Å. Structure: a structure optimized by DFT (PBE).
Kinematic intensities with the Lorentz-polarization factor, no thermal factor.

Cell and atoms:
```
data_LaIr3
_chemical_formula_sum 'La9 Ir27'
_cell_length_a 5.4094
_cell_length_b 5.4094
_cell_length_c 26.7209
_cell_angle_alpha 90.00
_cell_angle_beta 90.00
_cell_angle_gamma 120.00
_symmetry_space_group_name_H-M 'R -3 m'
_symmetry_Int_Tables_number 166
_symmetry_space_group_name_Hall '-R 3 2"'
loop_
_atom_site_label
_atom_site_type_symbol
_atom_site_fract_x
_atom_site_fract_y
_atom_site_fract_z
La1 La 0.0000 0.0000 0.0000
La2 La 0.0000 0.0000 0.1396
Ir1 Ir 0.0000 0.0000 0.3317
Ir2 Ir 0.0000 0.0000 0.5000
Ir3 Ir 0.0044 0.5022 0.0802
```

Top 8 peaks for 2θ from 10° to 80°, by intensity:
2θ 38.97, d = 2.311 Å, I = 100.0, (1 1 6)
2θ 42.12, d = 2.145 Å, I = 37.5, (2 0 5)
2θ 19.24, d = 4.614 Å, I = 27.3, (1 0 1)
2θ 38.58, d = 2.333 Å, I = 25.7, (0 2 1)
2θ 40.51, d = 2.227 Å, I = 24.5, (0 0 12)
2θ 45.41, d = 1.997 Å, I = 24.4, (0 2 7)
2θ 69.51, d = 1.352 Å, I = 23.9, (2 2 0)
2θ 63.09, d = 1.474 Å, I = 21.3, (0 3 6)

Entry 3:
This entry pairs a crystal structure of Tb12Nd2Dy with its simulated PXRD pattern. Radiation: a wavelength of 1.5418 Å. Structure: a structure optimized by DFT (PBE).
Kinematic intensities with the Lorentz-polarization factor, no thermal factor.

Cell and atoms:
```
data_Tb12Nd2Dy
_chemical_formula_sum 'Tb48 Nd8 Dy4'
_cell_length_a 7.1177
_cell_length_b 11.2732
_cell_length_c 24.5551
_cell_angle_alpha 90.00
_cell_angle_beta 94.19
_cell_angle_gamma 90.00
_symmetry_space_group_name_H-M 'C 1 2/m 1'
_symmetry_Int_Tables_number 12
loop_
_symmetry_equiv_pos_as_xyz
'x,y,z'
'-x,-y,-z'
'-x,y,-z'
'x,-y,z'
'x+1/2,y+1/2,z'
'-x+1/2,-y+1/2,-z'
'-x+1/2,y+1/2,-z'
'x+1/2,-y+1/2,z'
loop_
_atom_site_label
_atom_site_type_symbol
_atom_site_fract_x
_atom_site_fract_y
_atom_site_fract_z
Tb1 Tb 0.0166 0.2500 0.0729
Tb2 Tb 0.1119 0.2494 0.4449
Tb3 Tb 0.1419 0.5000 0.5727
Tb4 Tb 0.1430 0.0000 0.5719
Tb5 Tb 0.1683 0.2496 0.6698
Tb6 Tb 0.2013 0.2503 0.8001
Tb7 Tb 0.2176 0.0000 0.8644
Tb8 Tb 0.2178 0.5000 0.8649
Nd1 Nd 0.0666 0.5000 0.2723
Nd2 Nd 0.0677 0.0000 0.2725
Dy1 Dy 0.2499 0.0000 0.9998
```

Top 8 peaks for 2θ from 10° to 80°, by intensity:
2θ 31.75, d = 2.818 Å, I = 100.0, (0 4 0)
2θ 30.06, d = 2.972 Å, I = 90.6, (0 2 7)
2θ 32.39, d = 2.764 Å, I = 87.8, (2 2 -4)
2θ 31.09, d = 2.877 Å, I = 68.6, (2 2 2)
2θ 33.31, d = 2.690 Å, I = 54.5, (0 2 8)
2θ 30.20, d = 2.959 Å, I = 52.7, (2 2 1)
2θ 32.20, d = 2.780 Å, I = 49.5, (2 0 -6)
2θ 45.85, d = 1.979 Å, I = 37.3, (2 4 -6)